Entry 1:
SbTe3O8: computed powder XRD pattern (a wavelength of 1.5418 Å), based on a DFT-relaxed cell (PBE, Alexandria).
Lines closer than 0.1° are merged.

Atomic structure:
```
SbTe3O8
1.0
-5.7969 5.7969 5.7969
5.7969 -5.7969 5.7969
5.7969 5.7969 -5.7969
Sb Te O
4 12 32
direct
0.0000 0.0000 0.5000
0.0000 0.5000 0.0000
0.5000 0.0000 0.0000
0.5000 0.5000 0.5000
0.0535 0.2500 0.3035
0.1965 0.4465 0.7500
0.2500 0.3035 0.0535
0.2500 0.8035 0.5535
0.3035 0.0535 0.2500
0.4465 0.7500 0.1965
0.5535 0.2500 0.8035
0.6965 0.9465 0.7500
0.7500 0.1965 0.4465
0.7500 0.6965 0.9465
0.8035 0.5535 0.2500
0.9465 0.7500 0.6965
0.0000 0.3246 0.5000
0.0000 0.6754 0.5000
0.0228 0.4512 0.7880
0.0488 0.0716 0.3368
0.0716 0.3368 0.0488
0.1632 0.2348 0.7120
0.1754 0.1754 0.1754
0.2120 0.9772 0.5488
0.2348 0.7120 0.1632
0.2652 0.4284 0.4772
0.2880 0.8368 0.7652
0.3246 0.5000 0.0000
0.3368 0.0488 0.0716
0.4284 0.4772 0.2652
0.4512 0.7880 0.0228
0.4772 0.2652 0.4284
0.5000 0.0000 0.3246
0.5000 0.0000 0.6754
0.5228 0.7348 0.5716
0.5488 0.2120 0.9772
0.5716 0.5228 0.7348
0.6632 0.9512 0.9284
0.6754 0.5000 0.0000
0.7120 0.1632 0.2348
0.7348 0.5716 0.5228
0.7652 0.2880 0.8368
0.7880 0.0228 0.4512
0.8246 0.8246 0.8246
0.8368 0.7652 0.2880
0.9284 0.6632 0.9512
0.9512 0.9284 0.6632
0.9772 0.5488 0.2120
```

Largest 10 diffraction maxima, in order of falling intensity, 2θ = 10–90°:
| 2θ (°) | I/Imax |
| --- | --- |
| 26.63 | 100 |
| 18.75 | 38 |
| 30.85 | 31 |
| 44.19 | 27 |
| 28.81 | 25 |
| 52.35 | 22 |
| 32.77 | 16 |
| 85.39 | 14 |
| 59.68 | 13 |
| 39.64 | 13 |

***

Entry 2:
SbTe2O8: computed powder XRD pattern (a wavelength of 1.5418 Å), based on a DFT-relaxed cell (PBE, Alexandria).
Lines closer than 0.1° are merged.

Atomic structure:
```
SbTe2O8
1.0
-2.6244 2.6244 5.0071
2.6244 -2.6244 5.0071
2.6244 2.6244 -5.0071
Sb Te O
1 2 8
direct
0.0000 0.0000 0.0000
0.2500 0.7500 0.5000
0.7500 0.2500 0.5000
0.0637 0.5974 0.9117
0.1520 0.0637 0.4664
0.3143 0.4026 0.4664
0.4026 0.9363 0.0883
0.5974 0.6857 0.5336
0.6857 0.1520 0.0883
0.8480 0.3143 0.9117
0.9363 0.8480 0.5336
```

Largest 10 diffraction maxima, in order of falling intensity, 2θ = 10–90°:
| 2θ (°) | I/Imax |
| --- | --- |
| 29.97 | 100 |
| 19.09 | 39 |
| 50.37 | 37 |
| 58.59 | 29 |
| 49.09 | 19 |
| 34.17 | 17 |
| 60.84 | 16 |
| 81.84 | 12 |
| 23.98 | 12 |
| 17.71 | 11 |

***

Entry 3:
ThTl3Sb2O9: computed powder XRD pattern (a wavelength of 1.5418 Å), based on a DFT-relaxed cell (PBE, Alexandria).
Lines closer than 0.1° are merged.

Atomic structure:
```
ThTl3Sb2O9
1.0
5.9437 0.0000 0.0000
-2.9718 5.1474 0.0000
0.0000 0.0000 7.4210
Th Tl Sb O
1 3 2 9
direct
0.0000 0.0000 0.0000
0.0000 0.0000 0.5000
0.3333 0.6667 0.1755
0.6667 0.3333 0.8245
0.3333 0.6667 0.6566
0.6667 0.3333 0.3434
0.0000 0.5000 0.5000
0.1744 0.3488 0.8081
0.1744 0.8256 0.8081
0.3488 0.1744 0.1919
0.5000 0.0000 0.5000
0.5000 0.5000 0.5000
0.6512 0.8256 0.8081
0.8256 0.1744 0.1919
0.8256 0.6512 0.1919
```

Largest 10 diffraction maxima, in order of falling intensity, 2θ = 10–90°:
| 2θ (°) | I/Imax |
| --- | --- |
| 29.68 | 100 |
| 30.07 | 96 |
| 42.76 | 53 |
| 53.16 | 40 |
| 52.42 | 21 |
| 53.40 | 20 |
| 70.08 | 18 |
| 70.70 | 18 |
| 62.51 | 17 |
| 61.63 | 16 |

***

Entry 4:
Ti6Sb2O: computed powder XRD pattern (a wavelength of 1.5418 Å), based on a DFT-relaxed cell (PBE, Alexandria).
Lines closer than 0.1° are merged.

Atomic structure:
```
Ti6Sb2O
1.0
3.2909 0.0000 0.0000
0.0000 6.1519 3.6515
0.0000 -6.1519 3.6515
Ti Sb O
6 2 1
direct
0.0000 0.0000 0.0000
0.0000 0.5253 0.7381
0.0000 0.7381 0.5253
0.5000 0.1229 0.7565
0.5000 0.3422 0.3422
0.5000 0.7565 0.1229
0.0000 0.0774 0.4262
0.0000 0.4262 0.0774
0.5000 0.8120 0.8120
```

Largest 10 diffraction maxima, in order of falling intensity, 2θ = 10–90°:
| 2θ (°) | I/Imax |
| --- | --- |
| 37.13 | 100 |
| 39.67 | 56 |
| 36.76 | 50 |
| 43.22 | 40 |
| 38.61 | 34 |
| 24.90 | 32 |
| 27.10 | 28 |
| 47.80 | 28 |
| 37.67 | 26 |
| 14.10 | 21 |

***

Entry 5:
Ti12Sb6O: computed powder XRD pattern (a wavelength of 1.5418 Å), based on a DFT-relaxed cell (PBE, Alexandria).
Lines closer than 0.1° are merged.

Atomic structure:
```
Ti12Sb6O
1.0
5.7073 3.2951 3.2724
-5.7073 3.2951 3.2724
0.0000 -6.5902 3.2724
Ti Sb O
12 6 1
direct
0.0195 0.0604 0.2935
0.0604 0.2935 0.0195
0.2006 0.5025 0.4001
0.2935 0.0195 0.0604
0.4001 0.2006 0.5025
0.4975 0.5999 0.7994
0.5025 0.4001 0.2006
0.5999 0.7994 0.4975
0.7065 0.9805 0.9396
0.7994 0.4975 0.5999
0.9396 0.7065 0.9805
0.9805 0.9396 0.7065
0.1121 0.3161 0.6652
0.3161 0.6652 0.1121
0.3348 0.8879 0.6839
0.6652 0.1121 0.3161
0.6839 0.3348 0.8879
0.8879 0.6839 0.3348
0.0000 0.0000 0.0000
```

Largest 10 diffraction maxima, in order of falling intensity, 2θ = 10–90°:
| 2θ (°) | I/Imax |
| --- | --- |
| 37.57 | 100 |
| 25.51 | 91 |
| 33.95 | 74 |
| 43.98 | 65 |
| 31.51 | 52 |
| 27.25 | 42 |
| 37.77 | 33 |
| 52.40 | 31 |
| 49.68 | 28 |
| 49.87 | 28 |

***

Entry 6:
TlSbO3: computed powder XRD pattern (a wavelength of 1.5418 Å), based on a DFT-relaxed cell (PBE, Alexandria).
Lines closer than 0.1° are merged.

Atomic structure:
```
TlSbO3
1.0
5.4054 0.0000 0.0000
-2.7027 4.6812 0.0000
0.0000 0.0000 15.6357
Tl Sb O
4 4 12
direct
0.3333 0.6667 0.0803
0.3333 0.6667 0.4197
0.6667 0.3333 0.5803
0.6667 0.3333 0.9197
0.0000 0.0000 0.2500
0.0000 0.0000 0.7500
0.3333 0.6667 0.7500
0.6667 0.3333 0.2500
0.0495 0.3333 0.6777
0.0495 0.7162 0.8223
0.2838 0.3333 0.8223
0.2838 0.9505 0.6777
0.3333 0.0495 0.1777
0.3333 0.2838 0.3223
0.6667 0.7162 0.6777
0.6667 0.9505 0.8223
0.7162 0.0495 0.3223
0.7162 0.6667 0.1777
0.9505 0.2838 0.1777
0.9505 0.6667 0.3223
```

Largest 10 diffraction maxima, in order of falling intensity, 2θ = 10–90°:
| 2θ (°) | I/Imax |
| --- | --- |
| 25.58 | 100 |
| 33.15 | 44 |
| 48.53 | 40 |
| 42.33 | 25 |
| 54.79 | 25 |
| 22.13 | 21 |
| 34.43 | 14 |
| 59.21 | 12 |
| 56.50 | 11 |
| 70.32 | 10 |